# 1
This entry pairs a crystal structure of Y2Pb2O7 with its calculated powder XRD pattern. Radiation: Cu Kα (λ = 1.5418 Å). Structure: a cell relaxed with GGA-PBE.

Structure:
Lattice parameters (Å, degrees): 7.6342 7.6342 7.6342 60.00 60.00 60.00
Positions (direct):
Y 0.0000 0.0000 0.0000
Y 0.0000 0.0000 0.5000
Y 0.0000 0.5000 0.0000
Y 0.5000 0.0000 0.0000
Pb 0.0000 0.5000 0.5000
Pb 0.5000 0.0000 0.5000
Pb 0.5000 0.5000 0.0000
Pb 0.5000 0.5000 0.5000
O 0.1250 0.1250 0.1250
O 0.1512 0.1512 0.5988
O 0.1512 0.5988 0.1512
O 0.1512 0.5988 0.5988
O 0.4012 0.4012 0.8488
O 0.4012 0.8488 0.4012
O 0.4012 0.8488 0.8488
O 0.5988 0.1512 0.1512
O 0.5988 0.1512 0.5988
O 0.5988 0.5988 0.1512
O 0.8488 0.4012 0.4012
O 0.8488 0.4012 0.8488
O 0.8488 0.8488 0.4012
O 0.8750 0.8750 0.8750

Top 12 peaks for 15 to 90 degrees two-theta, sorted by position:
2theta, d/Å, intensity
27.40, 3.255, 16
28.64, 3.117, 100
33.19, 2.699, 34
43.56, 2.078, 5
47.65, 1.909, 50
49.98, 1.825, 5
56.54, 1.628, 45
59.30, 1.558, 10
69.67, 1.350, 8
77.00, 1.238, 19
79.39, 1.207, 14
88.79, 1.102, 16

# 2
This entry pairs a crystal structure of Sr3LaZnRuO8 with its calculated powder XRD pattern. Radiation: Cu Kα (λ = 1.5418 Å). Structure: a cell relaxed with GGA-PBE.

Structure:
Lattice parameters (Å, degrees): 5.6325 6.9155 6.9155 48.00 90.00 90.00
Positions (direct):
Sr 0.0000 0.0000 0.0000
Sr 0.0000 0.2841 0.2841
Sr 0.5000 0.7863 0.7863
La 0.5000 0.4999 0.4999
Zn 0.5000 0.1428 0.1428
Ru 0.0000 0.6444 0.6444
O 0.0000 0.4804 0.4804
O 0.0000 0.8026 0.8026
O 0.2464 0.3985 0.8824
O 0.2464 0.8824 0.3985
O 0.5000 0.3216 0.3216
O 0.5000 0.9747 0.9747
O 0.7536 0.3985 0.8824
O 0.7536 0.8824 0.3985

Top 12 peaks for 15 to 90 degrees two-theta, sorted by position:
2theta, d/Å, intensity
30.91, 2.893, 100
31.79, 2.815, 70
42.37, 2.133, 17
42.98, 2.105, 21
45.58, 1.990, 37
54.42, 1.686, 19
56.09, 1.640, 38
63.97, 1.455, 9
64.41, 1.446, 15
66.43, 1.407, 11
75.53, 1.259, 11
82.43, 1.170, 9

# 3
This entry pairs a crystal structure of Ba2Mg3Si4 with its calculated powder XRD pattern. Radiation: Cu Kα (λ = 1.5418 Å). Structure: a cell relaxed with GGA-PBE.

Structure:
Lattice parameters (Å, degrees): 6.5017 6.5017 15.6954 94.59 94.59 41.79
Positions (direct):
Ba 0.0589 0.0589 0.3654
Ba 0.1578 0.1578 0.0901
Ba 0.8422 0.8422 0.9099
Ba 0.9411 0.9411 0.6346
Mg 0.1066 0.1066 0.8458
Mg 0.2195 0.2195 0.5688
Mg 0.3377 0.3377 0.2946
Mg 0.6623 0.6623 0.7054
Mg 0.7805 0.7805 0.4312
Mg 0.8934 0.8934 0.1542
Si 0.2802 0.2802 0.7458
Si 0.4011 0.4011 0.4702
Si 0.4396 0.4396 0.0572
Si 0.4765 0.4765 0.7956
Si 0.5235 0.5235 0.2044
Si 0.5604 0.5604 0.9428
Si 0.5989 0.5989 0.5298
Si 0.7198 0.7198 0.2542

Top 12 peaks for 15 to 90 degrees two-theta, sorted by position:
2theta, d/Å, intensity
16.15, 5.488, 38
20.51, 4.331, 28
21.50, 4.132, 41
22.75, 3.909, 19
26.35, 3.383, 60
30.28, 2.952, 71
30.79, 2.904, 75
31.29, 2.859, 100
33.11, 2.706, 32
38.83, 2.319, 40
44.63, 2.030, 28
65.67, 1.422, 20

# 4
This entry pairs a crystal structure of MgTe4MoW3Se2S2 with its calculated powder XRD pattern. Radiation: Cu Kα (λ = 1.5418 Å). Structure: a cell relaxed with GGA-PBE.

Structure:
Lattice parameters (Å, degrees): 3.3893 3.3893 46.5304 90.00 90.00 120.00
Positions (direct):
Mg 0.0000 0.0000 0.0000
Te 0.3333 0.6667 0.2371
Te 0.3333 0.6667 0.3182
Te 0.3333 0.6667 0.8552
Te 0.3333 0.6667 0.9362
Mo 0.6667 0.3333 0.8955
W 0.3333 0.6667 0.0990
W 0.3333 0.6667 0.7139
W 0.6667 0.3333 0.2777
Se 0.6667 0.3333 0.6782
Se 0.6667 0.3333 0.7495
S 0.6667 0.3333 0.0665
S 0.6667 0.3333 0.1313

Top 12 peaks for 15 to 90 degrees two-theta, sorted by position:
2theta, d/Å, intensity
30.46, 2.934, 59
30.70, 2.912, 15
31.97, 2.799, 36
34.22, 2.620, 83
36.18, 2.483, 41
39.71, 2.270, 100
41.02, 2.200, 18
42.40, 2.132, 36
46.83, 1.940, 17
54.12, 1.695, 41
55.10, 1.667, 33
69.18, 1.358, 19

# 5
This entry pairs a crystal structure of Ba5Y3Br19 with its calculated powder XRD pattern. Radiation: Cu Kα (λ = 1.5418 Å). Structure: a cell relaxed with GGA-PBE.

Structure:
Lattice parameters (Å, degrees): 10.6128 14.2274 15.0775 85.86 70.27 77.76
Positions (direct):
Ba 0.0072 0.3256 0.2457
Ba 0.2159 0.6881 0.3381
Ba 0.2605 0.2243 0.8284
Ba 0.2671 0.9272 0.5457
Ba 0.4186 0.8407 0.8033
Ba 0.5814 0.1593 0.1967
Ba 0.7329 0.0728 0.4543
Ba 0.7395 0.7757 0.1716
Ba 0.7841 0.3119 0.6619
Ba 0.9928 0.6744 0.7543
Y 0.1747 0.9709 0.1709
Y 0.2566 0.5031 0.9855
Y 0.3503 0.3248 0.4786
Y 0.6497 0.6752 0.5214
Y 0.7434 0.4969 0.0145
Y 0.8253 0.0291 0.8291
Br 0.0000 0.5000 0.0000
Br 0.0445 0.8300 0.1502
Br 0.0725 0.8865 0.7837
Br 0.0791 0.7707 0.5533
Br 0.0934 0.9358 0.3690
Br 0.1191 0.2979 0.6256
Br 0.1373 0.5471 0.1804
Br 0.2094 0.6894 0.9191
Br 0.2567 0.3052 0.0366
Br 0.2613 0.3525 0.3229
Br 0.2662 0.0114 0.9752
Br 0.2798 0.5211 0.5059
Br 0.2853 0.1191 0.2096
Br 0.3356 0.0397 0.7038
Br 0.3599 0.4349 0.8007
Br 0.3796 0.7001 0.6549
Br 0.3932 0.1237 0.4406
Br 0.4036 0.8224 0.1641
Br 0.4905 0.7428 0.3952
Br 0.5000 0.5000 0.0000
Br 0.5095 0.2572 0.6048
Br 0.5964 0.1776 0.8359
Br 0.6068 0.8763 0.5594
Br 0.6204 0.2999 0.3451
Br 0.6401 0.5651 0.1993
Br 0.6644 0.9603 0.2962
Br 0.7147 0.8809 0.7904
Br 0.7202 0.4789 0.4941
Br 0.7338 0.9886 0.0248
Br 0.7387 0.6475 0.6771
Br 0.7433 0.6948 0.9634
Br 0.7906 0.3106 0.0809
Br 0.8627 0.4529 0.8196
Br 0.8809 0.7021 0.3744
Br 0.9066 0.0642 0.6310
Br 0.9209 0.2293 0.4467
Br 0.9275 0.1135 0.2163
Br 0.9555 0.1700 0.8498

Top 12 peaks for 15 to 90 degrees two-theta, sorted by position:
2theta, d/Å, intensity
18.14, 4.890, 64
26.94, 3.309, 100
28.23, 3.161, 66
28.60, 3.121, 54
30.46, 2.935, 52
31.43, 2.846, 77
31.73, 2.820, 58
32.19, 2.781, 91
32.83, 2.728, 69
32.96, 2.718, 52
33.93, 2.642, 45
34.26, 2.617, 65

# 6
This entry pairs a crystal structure of Ge3Te3Ir2 with its calculated powder XRD pattern. Radiation: Cu Kα (λ = 1.5418 Å). Structure: a cell relaxed with GGA-PBE.

Structure:
Lattice parameters (Å, degrees): 7.8783 7.8783 9.0961 124.99 124.99 69.84
Positions (direct):
Ge 0.0059 0.2908 0.1480
Ge 0.2908 0.0059 0.1480
Ge 0.3384 0.3384 0.0104
Ge 0.6616 0.6616 0.9896
Ge 0.7092 0.9941 0.8520
Ge 0.9941 0.7092 0.8520
Te 0.1717 0.8249 0.3383
Te 0.1751 0.8283 0.6617
Te 0.3577 0.3577 0.7127
Te 0.6423 0.6423 0.2873
Te 0.8249 0.1717 0.3383
Te 0.8283 0.1751 0.6617
Ir 0.0000 0.5000 0.0000
Ir 0.0000 0.5000 0.5000
Ir 0.5000 0.0000 0.0000
Ir 0.5000 0.0000 0.5000

Top 12 peaks for 15 to 90 degrees two-theta, sorted by position:
2theta, d/Å, intensity
19.52, 4.548, 100
19.69, 4.510, 74
27.63, 3.228, 44
27.86, 3.202, 57
30.63, 2.919, 52
31.12, 2.874, 76
31.29, 2.858, 81
36.98, 2.431, 38
44.08, 2.054, 86
44.59, 2.032, 52
44.87, 2.020, 44
49.14, 1.854, 49

# 7
This entry pairs a crystal structure of LiBeNF4 with its calculated powder XRD pattern. Radiation: Cu Kα (λ = 1.5418 Å). Structure: a cell relaxed with GGA-PBE.

Structure:
Lattice parameters (Å, degrees): 8.8685 9.4901 5.9658 90.00 90.00 90.00
Positions (direct):
Li 0.1583 0.0945 0.0000
Li 0.3417 0.5945 0.5000
Li 0.6583 0.4055 0.0000
Li 0.8417 0.9055 0.5000
Be 0.1884 0.8837 0.3471
Be 0.3116 0.3837 0.8471
Be 0.6884 0.6163 0.3471
Be 0.8116 0.1163 0.8471
N 0.0603 0.6677 0.9501
N 0.4397 0.1677 0.4501
N 0.5603 0.8323 0.9501
N 0.9397 0.3323 0.4501
F 0.0363 0.9334 0.4103
F 0.1851 0.6201 0.0544
F 0.2365 0.2722 0.9782
F 0.2435 0.4481 0.6449
F 0.2565 0.9481 0.1449
F 0.2635 0.7722 0.4782
F 0.3149 0.1201 0.5544
F 0.4637 0.4334 0.9103
F 0.5363 0.5666 0.4103
F 0.6851 0.8799 0.0544
F 0.7365 0.2278 0.9782
F 0.7435 0.0519 0.6449
F 0.7565 0.5519 0.1449
F 0.7635 0.7278 0.4782
F 0.8149 0.3799 0.5544
F 0.9637 0.0666 0.9103

Top 12 peaks for 15 to 90 degrees two-theta, sorted by position:
2theta, d/Å, intensity
17.56, 5.051, 30
20.02, 4.434, 39
20.23, 4.389, 60
22.13, 4.017, 22
26.01, 3.425, 100
26.75, 3.332, 21
29.97, 2.982, 50
32.02, 2.795, 27
33.62, 2.666, 37
36.30, 2.475, 25
38.06, 2.364, 60
41.13, 2.194, 25